Pr2Nd3PuSe6: calculated powder diffractogram (Cu Kα, 1.54184 Å), based on a crystal structure in Alexandria, relaxed with GGA-PBE.

Largest 10 diffraction maxima, sorted by position, 10° ≤ 2θ ≤ 80°:
- d = 3.464 Å, I 104
- d = 3.442 Å, I 102
- d = 2.990 Å, I 1000
- d = 2.124 Å, I 127
- d = 2.114 Å, I 500
- d = 2.104 Å, I 124
- d = 1.732 Å, I 134
- d = 1.721 Å, I 132
- d = 1.495 Å, I 124
- d = 1.337 Å, I 227

Structure:
Lattice parameters (Å, degrees): 9.4554 9.4554 8.4978 103.01 103.01 25.72
Fractional coordinates of all 12 atoms:
1 Pr 0.1654 0.1654 0.3312
2 Pr 0.8346 0.8346 0.6688
3 Nd 0.1680 0.1680 0.8354
4 Nd 0.5000 0.5000 0.5000
5 Nd 0.8320 0.8320 0.1646
6 Pu 0.5000 0.5000 0.0000
7 Se 0.0017 0.0017 0.7559
8 Se 0.3336 0.3336 0.4149
9 Se 0.3357 0.3357 0.9197
10 Se 0.6643 0.6643 0.0803
11 Se 0.6664 0.6664 0.5851
12 Se 0.9983 0.9983 0.2441



NbIn: calculated powder diffractogram (Cu Kα, 1.54184 Å), based on a crystal structure in Alexandria, relaxed with GGA-PBE.

Largest 10 diffraction maxima, sorted by position, 10° ≤ 2θ ≤ 80°:
- d = 7.138 Å, I 61
- d = 3.226 Å, I 96
- d = 3.192 Å, I 93
- d = 2.393 Å, I 1000
- d = 2.379 Å, I 479
- d = 1.736 Å, I 75
- d = 1.702 Å, I 88
- d = 1.682 Å, I 152
- d = 1.384 Å, I 165
- d = 1.376 Å, I 297

Structure:
Lattice parameters (Å, degrees): 7.3379 7.3379 7.3379 93.08 93.08 153.17
Fractional coordinates of all 8 atoms:
1 Nb 0.0000 0.3441 0.3441
2 Nb 0.0000 0.6559 0.6559
3 Nb 0.3441 0.0000 0.3441
4 Nb 0.6559 0.0000 0.6559
5 In 0.3428 0.3428 0.6855
6 In 0.3428 0.6572 0.0000
7 In 0.6572 0.3428 0.0000
8 In 0.6572 0.6572 0.3145